1.
Starting from the PBE geometry in the Materials Project, the powder X-ray diffraction pattern of K2PbO3 was calculated for Cu Kα.
Intensities are scaled so that the largest is 1000.

Structure:
```
data_K2PbO3
_cell_length_a 6.1037
_cell_length_b 10.7796
_cell_length_c 7.0874
_cell_angle_alpha 90.00
_cell_angle_beta 90.00
_cell_angle_gamma 90.00
_space_group_name_H-M_alt 'P n m a'
_space_group_IT_number 62
loop_
_space_group_symop_operation_xyz
'x,y,z'
'-x,-y,-z'
'-x+1/2,-y,z+1/2'
'x+1/2,y,-z+1/2'
'x+1/2,-y+1/2,-z+1/2'
'-x+1/2,y+1/2,z+1/2'
'-x,y+1/2,-z'
'x,-y+1/2,z'
loop_
_atom_site_label
_atom_site_type_symbol
_atom_site_fract_x
_atom_site_fract_y
_atom_site_fract_z
K1 K 0.2327 0.0860 0.1121
Pb1 Pb 0.2313 0.7500 0.1520
O1 O 0.0055 0.1161 0.7179
O2 O 0.1304 0.7500 0.8746
```

Peak list (6 most intense, 10° ≤ 2θ ≤ 90°, low angle first)
- 2θ = 15.0°, I 1000
- 2θ = 16.4°, I 579
- 2θ = 20.9°, I 370
- 2θ = 29.1°, I 655
- 2θ = 31.5°, I 559
- 2θ = 40.8°, I 443


2.
Starting from the PBE geometry in the Materials Project, the powder X-ray diffraction pattern of Tb3Ni19B10 was calculated for Cu Kα.
Intensities are scaled so that the largest is 1000.

Structure:
```
data_Tb3Ni19B10
_cell_length_a 13.1531
_cell_length_b 8.7299
_cell_length_c 5.7873
_cell_angle_alpha 90.00
_cell_angle_beta 91.32
_cell_angle_gamma 90.00
_space_group_name_H-M_alt 'C 1 2/m 1'
_space_group_IT_number 12
loop_
_space_group_symop_operation_xyz
'x,y,z'
'-x,-y,-z'
'-x,y,-z'
'x,-y,z'
'x+1/2,y+1/2,z'
'-x+1/2,-y+1/2,-z'
'-x+1/2,y+1/2,-z'
'x+1/2,-y+1/2,z'
loop_
_atom_site_label
_atom_site_type_symbol
_atom_site_fract_x
_atom_site_fract_y
_atom_site_fract_z
Tb1 Tb 0.0000 0.0000 0.0000
Tb2 Tb 0.1255 0.5000 0.3850
Ni1 Ni 0.0000 0.0000 0.5000
Ni2 Ni 0.0298 0.2594 0.6981
Ni3 Ni 0.1222 0.5000 0.8730
Ni4 Ni 0.1275 0.2496 0.0731
Ni5 Ni 0.1627 0.0000 0.7031
Ni6 Ni 0.1821 0.0000 0.2709
Ni7 Ni 0.2190 0.2637 0.6980
B1 B 0.0000 0.3840 0.0000
B2 B 0.1179 0.1823 0.4307
B3 B 0.2458 0.1034 0.9753
```

Peak list (6 most intense, 10° ≤ 2θ ≤ 90°, low angle first)
- 2θ = 35.7°, I 483
- 2θ = 38.3°, I 587
- 2θ = 40.1°, I 930
- 2θ = 41.4°, I 1000
- 2θ = 47.2°, I 459
- 2θ = 48.7°, I 440


3.
Starting from the PBE geometry in the Materials Project, the powder X-ray diffraction pattern of LaThCN was calculated for Cu Kα.
Intensities are scaled so that the largest is 1000.

Structure:
```
data_LaThCN
_cell_length_a 3.7847
_cell_length_b 3.7847
_cell_length_c 18.4640
_cell_angle_alpha 90.00
_cell_angle_beta 90.00
_cell_angle_gamma 120.00
_space_group_name_H-M_alt 'R 3 m'
_space_group_IT_number 160
_space_group_name_Hall 'R 3 -2"'
loop_
_atom_site_label
_atom_site_type_symbol
_atom_site_fract_x
_atom_site_fract_y
_atom_site_fract_z
La1 La 0.0000 0.0000 0.0000
Th1 Th 0.0000 0.0000 0.4990
C1 C 0.0000 0.0000 0.2414
N1 N 0.0000 0.0000 0.7549
```

Peak list (6 most intense, 10° ≤ 2θ ≤ 90°, low angle first)
- 2θ = 28.9°, I 1000
- 2θ = 29.0°, I 332
- 2θ = 33.5°, I 902
- 2θ = 48.1°, I 327
- 2θ = 48.2°, I 322
- 2θ = 57.1°, I 476


4.
Starting from the PBE geometry in the Materials Project, the powder X-ray diffraction pattern of K2RbAsI6 was calculated for Cu Kα.
Intensities are scaled so that the largest is 1000.

Structure:
```
data_K2RbAsI6
_cell_length_a 12.6404
_cell_length_b 12.6404
_cell_length_c 12.6404
_cell_angle_alpha 90.00
_cell_angle_beta 90.00
_cell_angle_gamma 90.00
_space_group_name_H-M_alt 'F m -3 m'
_space_group_IT_number 225
_space_group_name_Hall '-F 4 2 3'
loop_
_atom_site_label
_atom_site_type_symbol
_atom_site_fract_x
_atom_site_fract_y
_atom_site_fract_z
K1 K 0.2500 0.2500 0.2500
Rb1 Rb 0.0000 0.0000 0.0000
As1 As 0.0000 0.0000 0.5000
I1 I 0.0000 0.0000 0.2728
```

Peak list (6 most intense, 10° ≤ 2θ ≤ 90°, low angle first)
- 2θ = 14.0°, I 665
- 2θ = 24.4°, I 864
- 2θ = 28.2°, I 1000
- 2θ = 31.7°, I 295
- 2θ = 40.4°, I 686
- 2θ = 47.7°, I 312


5.
Starting from the PBE geometry in the Materials Project, the powder X-ray diffraction pattern of UAlCo was calculated for Cu Kα.
Intensities are scaled so that the largest is 1000.

Structure:
```
data_UAlCo
_cell_length_a 6.5630
_cell_length_b 6.5630
_cell_length_c 4.0358
_cell_angle_alpha 90.00
_cell_angle_beta 90.00
_cell_angle_gamma 120.00
_space_group_name_H-M_alt 'P -6 2 m'
_space_group_IT_number 189
_space_group_name_Hall 'P -6 -2'
loop_
_atom_site_label
_atom_site_type_symbol
_atom_site_fract_x
_atom_site_fract_y
_atom_site_fract_z
U1 U 0.0000 0.4235 0.0000
Al1 Al 0.0000 0.7643 0.5000
Co1 Co 0.0000 0.0000 0.0000
Co2 Co 0.3333 0.6667 0.5000
```

Peak list (6 most intense, 10° ≤ 2θ ≤ 90°, low angle first)
- 2θ = 22.0°, I 478
- 2θ = 27.2°, I 442
- 2θ = 31.5°, I 453
- 2θ = 35.3°, I 942
- 2θ = 38.8°, I 1000
- 2θ = 63.3°, I 431


6.
Starting from the PBE geometry in the Materials Project, the powder X-ray diffraction pattern of Ta3N5 was calculated for Cu Kα.
Intensities are scaled so that the largest is 1000.

Structure:
```
data_Ta3N5
_cell_length_a 9.4235
_cell_length_b 6.0669
_cell_length_c 5.6606
_cell_angle_alpha 90.00
_cell_angle_beta 90.00
_cell_angle_gamma 90.00
_space_group_name_H-M_alt 'P n m a'
_space_group_IT_number 62
loop_
_space_group_symop_operation_xyz
'x,y,z'
'-x,-y,-z'
'-x+1/2,-y,z+1/2'
'x+1/2,y,-z+1/2'
'x+1/2,-y+1/2,-z+1/2'
'-x+1/2,y+1/2,z+1/2'
'-x,y+1/2,-z'
'x,-y+1/2,z'
loop_
_atom_site_label
_atom_site_type_symbol
_atom_site_fract_x
_atom_site_fract_y
_atom_site_fract_z
Ta1 Ta 0.9999 0.2500 0.0750
Ta2 Ta 0.1790 0.0015 0.4971
N1 N 0.0009 0.2500 0.4545
N2 N 0.1112 0.0273 0.8510
N3 N 0.1820 0.7500 0.1992
N4 N 0.2080 0.2500 0.2094
```

Peak list (6 most intense, 10° ≤ 2θ ≤ 90°, low angle first)
- 2θ = 31.6°, I 463
- 2θ = 32.6°, I 1000
- 2θ = 34.9°, I 620
- 2θ = 35.2°, I 547
- 2θ = 48.0°, I 379
- 2θ = 60.1°, I 311


7.
Starting from the PBE geometry in the Materials Project, the powder X-ray diffraction pattern of Tc2N was calculated for Cu Kα.
Intensities are scaled so that the largest is 1000.

Structure:
```
data_Tc2N
_cell_length_a 2.8494
_cell_length_b 2.8494
_cell_length_c 9.7444
_cell_angle_alpha 90.00
_cell_angle_beta 90.00
_cell_angle_gamma 120.00
_space_group_name_H-M_alt 'P 63/m m c'
_space_group_IT_number 194
_space_group_name_Hall '-P 6c 2c'
loop_
_atom_site_label
_atom_site_type_symbol
_atom_site_fract_x
_atom_site_fract_y
_atom_site_fract_z
Tc1 Tc 0.3333 0.6667 0.1080
N1 N 0.3333 0.6667 0.7500
```

Peak list (6 most intense, 10° ≤ 2θ ≤ 90°, low angle first)
- 2θ = 36.4°, I 414
- 2θ = 36.9°, I 333
- 2θ = 37.6°, I 630
- 2θ = 46.2°, I 1000
- 2θ = 65.5°, I 276
- 2θ = 77.6°, I 226


8.
Starting from the PBE geometry in the Materials Project, the powder X-ray diffraction pattern of EuAl2O4 was calculated for Cu Kα.
Intensities are scaled so that the largest is 1000.

Structure:
```
data_EuAl2O4
_cell_length_a 5.2073
_cell_length_b 8.8905
_cell_length_c 8.4953
_cell_angle_alpha 90.00
_cell_angle_beta 93.37
_cell_angle_gamma 90.00
_space_group_name_H-M_alt 'P 1 21 1'
_space_group_IT_number 4
loop_
_space_group_symop_operation_xyz
'x,y,z'
'-x,y+1/2,-z'
loop_
_atom_site_label
_atom_site_type_symbol
_atom_site_fract_x
_atom_site_fract_y
_atom_site_fract_z
Eu1 Eu 0.1983 0.0000 0.0262
Eu2 Eu 0.2538 0.0080 0.4874
Al1 Al 0.1972 0.6782 0.3202
Al2 Al 0.2211 0.6771 0.7086
Al3 Al 0.2735 0.3461 0.2014
Al4 Al 0.2918 0.3389 0.8105
O1 O 0.0609 0.8035 0.8300
O2 O 0.1015 0.1730 0.7940
O3 O 0.1023 0.4921 0.7355
O4 O 0.1130 0.7270 0.5136
O5 O 0.3446 0.4994 0.3288
O6 O 0.3632 0.3926 0.0095
O7 O 0.4045 0.8257 0.2695
O8 O 0.4375 0.1793 0.2674
```

Peak list (6 most intense, 10° ≤ 2θ ≤ 90°, low angle first)
- 2θ = 19.8°, I 1000
- 2θ = 20.0°, I 509
- 2θ = 28.2°, I 924
- 2θ = 29.1°, I 928
- 2θ = 29.7°, I 831
- 2θ = 34.8°, I 678


9.
Starting from the PBE geometry in the Materials Project, the powder X-ray diffraction pattern of ScBPt3 was calculated for Cu Kα.
Intensities are scaled so that the largest is 1000.

Structure:
```
data_ScBPt3
_cell_length_a 4.2622
_cell_length_b 4.2622
_cell_length_c 4.2622
_cell_angle_alpha 90.00
_cell_angle_beta 90.00
_cell_angle_gamma 90.00
_space_group_name_H-M_alt 'P m -3 m'
_space_group_IT_number 221
_space_group_name_Hall '-P 4 2 3'
loop_
_atom_site_label
_atom_site_type_symbol
_atom_site_fract_x
_atom_site_fract_y
_atom_site_fract_z
Sc1 Sc 0.0000 0.0000 0.0000
B1 B 0.5000 0.5000 0.5000
Pt1 Pt 0.0000 0.5000 0.5000
```

Peak list (6 most intense, 10° ≤ 2θ ≤ 90°, low angle first)
- 2θ = 20.8°, I 196
- 2θ = 29.6°, I 130
- 2θ = 36.5°, I 1000
- 2θ = 42.4°, I 521
- 2θ = 61.5°, I 348
- 2θ = 73.7°, I 393


10.
Starting from the PBE geometry in the Materials Project, the powder X-ray diffraction pattern of KC2 was calculated for Cu Kα.
Intensities are scaled so that the largest is 1000.

Structure:
```
data_KC2
_cell_length_a 7.8542
_cell_length_b 4.8145
_cell_length_c 7.9551
_cell_angle_alpha 90.00
_cell_angle_beta 107.13
_cell_angle_gamma 90.00
_space_group_name_H-M_alt 'C 1 2/c 1'
_space_group_IT_number 15
loop_
_space_group_symop_operation_xyz
'x,y,z'
'-x,-y,-z'
'-x,y,-z+1/2'
'x,-y,z+1/2'
'x+1/2,y+1/2,z'
'-x+1/2,-y+1/2,-z'
'-x+1/2,y+1/2,-z+1/2'
'x+1/2,-y+1/2,z+1/2'
loop_
_atom_site_label
_atom_site_type_symbol
_atom_site_fract_x
_atom_site_fract_y
_atom_site_fract_z
K1 K 0.0000 0.1837 0.2500
C1 C 0.2253 0.3477 0.9450
```

Peak list (6 most intense, 10° ≤ 2θ ≤ 90°, low angle first)
- 2θ = 23.2°, I 163
- 2θ = 26.5°, I 1000
- 2θ = 28.1°, I 566
- 2θ = 38.3°, I 159
- 2θ = 38.8°, I 261
- 2θ = 39.2°, I 468